This entry pairs a crystal structure of Li6Cd5Ga with its calculated powder XRD pattern. Radiation: Cu Kα X-rays. Structure: a DFT-relaxed cell (GGA-PBE, Alexandria).

```
data_Li6Cd5Ga
_chemical_formula_sum 'Li12 Cd10 Ga2'
_cell_length_a 7.932
_cell_length_b 14.191
_cell_length_c 4.719
_cell_angle_alpha 90.00
_cell_angle_beta 126.20
_cell_angle_gamma 90.00
_symmetry_space_group_name_H-M 'C 1 2/m 1'
_symmetry_Int_Tables_number 12
loop_
_symmetry_equiv_pos_as_xyz
'x,y,z'
'-x,-y,-z'
'-x,y,-z'
'x,-y,z'
'x+1/2,y+1/2,z'
'-x+1/2,-y+1/2,-z'
'-x+1/2,y+1/2,-z'
'x+1/2,-y+1/2,z'
loop_
_atom_site_label
_atom_site_type_symbol
_atom_site_fract_x
_atom_site_fract_y
_atom_site_fract_z
Li1 Li 0.238 0.000 0.237
Li2 Li 0.243 0.162 0.743
Cd1 Cd 0.000 0.169 0.000
Cd2 Cd 0.000 0.334 0.500
Cd3 Cd 0.000 0.500 0.000
Ga1 Ga 0.000 0.000 0.500
```

Peak list (6 most intense, 10 to 90 degrees two-theta, sorted by position)
| h k l | d [Å] | 2theta | I/Imax |
| --- | --- | --- | --- |
| 1 3 -1 | 3.341 | 26.68 | 100.0 |
| 2 0 0 | 3.201 | 27.88 | 44.7 |
| 2 0 -2 | 2.362 | 38.09 | 46.5 |
| 1 3 1 | 2.316 | 38.89 | 43.9 |
| 3 3 -1 | 2.307 | 39.05 | 43.4 |
| 0 0 2 | 1.903 | 47.80 | 29.5 |